Record 1
# AlN3Cl3
Theoretical powder XRD pattern, Cu Kα (weighted mean of Kα1 and Kα2). Input: the PBE geometry in the Materials Project.
No peak broadening, texture or thermal motion is included.

Top 10 peaks for 2θ = 10–80°, in order of rising 2θ:
2θ/deg, intensity
15.3, 61
16.2, 51
19.2, 67
23.6, 45
28.8, 55
30.8, 48
31.4, 100
32.0, 91
32.8, 34
38.6, 27

Atomic structure:
abc: 4.701 7.098 9.350
angles: 86.20 82.83 88.38
Sites, in units of the cell vectors:
1 Al 0.000 0.000 0.000
2 Al 0.000 0.500 0.500
3 N 0.032 0.490 0.706
4 N 0.273 0.792 0.987
5 N 0.282 0.691 0.467
6 N 0.718 0.309 0.533
7 N 0.727 0.208 0.013
8 N 0.968 0.510 0.294
9 Cl 0.007 0.998 0.235
10 Cl 0.429 0.260 0.951
11 Cl 0.469 0.265 0.438
12 Cl 0.531 0.735 0.562
13 Cl 0.571 0.740 0.049
14 Cl 0.993 0.002 0.765



Record 2
# CrIr3
Theoretical powder XRD pattern, Cu Kα (weighted mean of Kα1 and Kα2). Input: the PBE geometry in the Materials Project.
No peak broadening, texture or thermal motion is included.

Top 9 peaks for 2θ = 10–80°, in order of rising 2θ:
2θ/deg, intensity
23.3, 15
33.1, 12
40.9, 100
47.5, 49
53.6, 7
59.2, 5
69.5, 31
74.4, 3
79.2, 2

Atomic structure:
abc: 3.825 3.825 3.825
angles: 90.00 90.00 90.00
Sites, in units of the cell vectors:
1 Cr 0.000 0.000 0.000
2 Ir 0.000 0.500 0.500
3 Ir 0.500 0.000 0.500
4 Ir 0.500 0.500 0.000



Record 3
# KCaCeBiO6
Theoretical powder XRD pattern, Cu Kα (weighted mean of Kα1 and Kα2). Input: the PBE geometry in the Materials Project.
No peak broadening, texture or thermal motion is included.

Top 10 peaks for 2θ = 10–80°, in order of rising 2θ:
2θ/deg, intensity
20.6, 66
29.2, 100
36.0, 7
41.8, 33
47.1, 31
51.9, 41
60.6, 21
64.8, 15
68.7, 18
76.4, 7

Atomic structure:
abc: 6.108 6.108 6.108
angles: 60.00 60.00 60.00
Sites, in units of the cell vectors:
1 K 0.000 0.000 0.000
2 Ca 0.500 0.500 0.500
3 Ce 0.750 0.750 0.750
4 Bi 0.250 0.250 0.250
5 O 0.005 0.005 0.495
6 O 0.005 0.495 0.005
7 O 0.005 0.495 0.495
8 O 0.495 0.005 0.005
9 O 0.495 0.005 0.495
10 O 0.495 0.495 0.005



Record 4
# Ba6MgP6O21
Theoretical powder XRD pattern, Cu Kα (weighted mean of Kα1 and Kα2). Input: the PBE geometry in the Materials Project.
No peak broadening, texture or thermal motion is included.

Top 10 peaks for 2θ = 10–80°, in order of rising 2θ:
2θ/deg, intensity
20.7, 62
22.1, 100
22.8, 60
28.8, 40
29.7, 70
30.8, 27
31.2, 21
38.1, 19
41.6, 18
43.2, 20

Atomic structure:
abc: 9.316 7.292 9.738
angles: 90.00 112.04 90.00
Sites, in units of the cell vectors:
1 Ba 0.000 0.000 0.000
2 Ba 0.010 0.500 0.308
3 Ba 0.303 0.500 0.961
4 Ba 0.444 0.000 0.721
5 Ba 0.711 0.000 0.312
6 Ba 0.788 0.500 0.701
7 Mg 0.376 0.500 0.586
8 P 0.071 0.215 0.655
9 P 0.071 0.785 0.655
10 P 0.314 0.213 0.292
11 P 0.314 0.787 0.292
12 P 0.699 0.282 0.995
13 P 0.699 0.718 0.995
14 O 0.027 0.235 0.792
15 O 0.027 0.765 0.792
16 O 0.115 0.000 0.641
17 O 0.200 0.286 0.141
18 O 0.200 0.714 0.141
19 O 0.226 0.308 0.681
20 O 0.226 0.692 0.681
21 O 0.254 0.000 0.292
22 O 0.280 0.299 0.420
23 O 0.280 0.701 0.420
24 O 0.483 0.213 0.310
25 O 0.483 0.787 0.310
26 O 0.534 0.253 0.986
27 O 0.534 0.747 0.986
28 O 0.730 0.204 0.862
29 O 0.730 0.796 0.862
30 O 0.744 0.500 0.995
31 O 0.823 0.217 0.143
32 O 0.823 0.783 0.143
33 O 0.935 0.265 0.511
34 O 0.935 0.735 0.511